# PaBi2F11
Simulated powder diffraction line list, Cu Kα, 1.54184 Å. Input: a GGA-PBE-relaxed structure.
Intensities are scaled so that the largest is 100.

Structure:
```
PaBi2F11
1.0
-4.1908 5.3407 5.6357
4.1908 -5.3407 5.6357
4.1908 5.3407 -5.6357
Pa Bi F
2 4 22
Direct
0.2500 0.2500 0.0000
0.7500 0.7500 0.0000
0.1829 0.6354 0.8183
0.3171 0.1354 0.4525
0.6829 0.8646 0.5475
0.8171 0.3646 0.1817
0.0000 0.5000 0.5000
0.0179 0.9432 0.2592
0.0751 0.3405 0.1361
0.1840 0.4432 0.9254
0.2045 0.9390 0.8639
0.2198 0.3710 0.5908
0.2802 0.8710 0.1513
0.2955 0.1595 0.7345
0.3160 0.2414 0.2592
0.4249 0.5610 0.2655
0.4821 0.7414 0.9254
0.5000 0.0000 0.5000
0.5179 0.2586 0.0746
0.5751 0.4390 0.7345
0.6840 0.7586 0.7408
0.7045 0.8405 0.2655
0.7198 0.1290 0.8487
0.7802 0.6290 0.4092
0.7955 0.0610 0.1361
0.8160 0.5568 0.0746
0.9249 0.6595 0.8639
0.9821 0.0568 0.7408
```

Largest 8 diffraction maxima, most intense first, 15 to 90 degrees two-theta:
Position (°2θ)  I (rel.)
20.73  100
22.94  73
24.14  63
21.24  40
46.55  40
44.23  35
27.21  32
42.30  32